Record 1
The following is a simulated PXRD pattern of Pm6Nd2DyTm. It was derived from a structure optimized by DFT (PBE), using CuKα.
Kinematic intensities with the Lorentz-polarization factor, no thermal factor.

Structure:
a = 9.193 Å, b = 15.341 Å, c = 9.787 Å
α = 90.00°, β = 98.33°, γ = 90.00°
Space group C2/c (No. 15)
Asymmetric unit:
1 Pm 0.061 0.185 0.445 (multiplicity 8)
2 Pm 0.103 0.395 0.619 (multiplicity 8)
3 Pm 0.206 0.221 0.810 (multiplicity 8)
4 Nd 0.248 0.051 0.043 (multiplicity 8)
5 Dy 0.000 0.020 0.750 (multiplicity 4)
6 Tm 0.000 0.409 0.250 (multiplicity 4)

Peak list (6 most intense, 2θ = 10–90°, in order of falling intensity)
2θ = 31.09°, I 100; 2θ = 30.15°, I 55; 2θ = 33.08°, I 52; 2θ = 30.75°, I 48; 2θ = 30.04°, I 45; 2θ = 28.16°, I 37

=====

Record 2
The following is a simulated PXRD pattern of PmNdDyY. It was derived from a structure optimized by DFT (PBE), using CuKα.
Kinematic intensities with the Lorentz-polarization factor, no thermal factor.

Structure:
a = 5.118 Å, b = 5.118 Å, c = 10.181 Å
α = 90.00°, β = 90.00°, γ = 90.00°
Space group I-4m2 (No. 119)
Asymmetric unit:
1 Pm 0.000 0.000 0.000 (multiplicity 2)
2 Nd 0.000 0.500 0.250 (multiplicity 2)
3 Dy 0.000 0.500 0.750 (multiplicity 2)
4 Y 0.000 0.000 0.500 (multiplicity 2)

Peak list (6 most intense, 2θ = 10–90°, in order of falling intensity)
2θ = 30.30°, I 100; 2θ = 35.06°, I 34; 2θ = 59.97°, I 29; 2θ = 50.58°, I 24; 2θ = 35.26°, I 17; 2θ = 60.23°, I 14

=====

Record 3
The following is a simulated PXRD pattern of PmNd6Dy2Y. It was derived from a structure optimized by DFT (PBE), using CuKα.
Kinematic intensities with the Lorentz-polarization factor, no thermal factor.

Structure:
a = 9.283 Å, b = 15.387 Å, c = 9.749 Å
α = 90.00°, β = 97.62°, γ = 90.00°
Space group C2/c (No. 15)
Asymmetric unit:
1 Pm 0.000 0.027 0.250 (multiplicity 4)
2 Nd 0.063 0.179 0.945 (multiplicity 8)
3 Nd 0.098 0.392 0.119 (multiplicity 8)
4 Nd 0.212 0.224 0.315 (multiplicity 8)
5 Dy 0.250 0.049 0.546 (multiplicity 8)
6 Y 0.000 0.410 0.750 (multiplicity 4)

Peak list (6 most intense, 2θ = 10–90°, in order of falling intensity)
2θ = 30.87°, I 100; 2θ = 29.94°, I 56; 2θ = 28.02°, I 45; 2θ = 30.08°, I 44; 2θ = 33.19°, I 39; 2θ = 30.63°, I 37

=====

Record 4
The following is a simulated PXRD pattern of PrNd4Dy. It was derived from a structure optimized by DFT (PBE), using CuKα.
Kinematic intensities with the Lorentz-polarization factor, no thermal factor.

Structure:
a = 5.195 Å, b = 15.570 Å, c = 5.170 Å
α = 90.00°, β = 90.00°, γ = 90.00°
Space group Cmmm (No. 65)
Asymmetric unit:
1 Pr 0.000 0.000 0.000 (multiplicity 2)
2 Nd 0.000 0.166 0.500 (multiplicity 4)
3 Nd 0.000 0.334 0.000 (multiplicity 4)
4 Dy 0.000 0.500 0.500 (multiplicity 2)

Peak list (6 most intense, 2θ = 10–90°, in order of falling intensity)
2θ = 29.85°, I 100; 2θ = 34.55°, I 34; 2θ = 59.03°, I 29; 2θ = 49.78°, I 24; 2θ = 34.70°, I 17; 2θ = 59.23°, I 14

=====

Record 5
The following is a simulated PXRD pattern of PrNd10Dy4. It was derived from a structure optimized by DFT (PBE), using CuKα.
Kinematic intensities with the Lorentz-polarization factor, no thermal factor.

Structure:
a = 12.797 Å, b = 12.797 Å, c = 6.889 Å
α = 90.00°, β = 90.00°, γ = 90.00°
Space group I4/m (No. 87)
Asymmetric unit:
1 Pr 0.000 0.000 0.000 (multiplicity 2)
2 Nd 0.000 0.500 0.250 (multiplicity 4)
3 Nd 0.128 0.289 0.245 (multiplicity 16)
4 Dy 0.067 0.824 0.500 (multiplicity 8)

Peak list (6 most intense, 2θ = 10–90°, in order of falling intensity)
2θ = 31.26°, I 100; 2θ = 34.18°, I 93; 2θ = 27.71°, I 63; 2θ = 28.29°, I 41; 2θ = 35.78°, I 38; 2θ = 44.67°, I 35

=====

Record 6
The following is a simulated PXRD pattern of Pr2Nd7Dy3. It was derived from a structure optimized by DFT (PBE), using CuKα.
Kinematic intensities with the Lorentz-polarization factor, no thermal factor.

Structure:
a = 5.862 Å, b = 38.780 Å, c = 3.674 Å
α = 90.00°, β = 90.00°, γ = 90.00°
Space group Cmmm (No. 65)
Asymmetric unit:
1 Pr 0.000 0.148 0.000 (multiplicity 4)
2 Nd 0.000 0.000 0.000 (multiplicity 2)
3 Nd 0.000 0.072 0.500 (multiplicity 4)
4 Nd 0.000 0.231 0.000 (multiplicity 4)
5 Nd 0.000 0.409 0.000 (multiplicity 4)
6 Dy 0.000 0.315 0.500 (multiplicity 4)
7 Dy 0.000 0.500 0.500 (multiplicity 2)

Peak list (6 most intense, 2θ = 10–90°, in order of falling intensity)
2θ = 30.95°, I 100; 2θ = 30.51°, I 81; 2θ = 29.55°, I 53; 2θ = 33.00°, I 34; 2θ = 33.71°, I 24; 2θ = 54.49°, I 20

=====

Record 7
The following is a simulated PXRD pattern of Pr6NdDy. It was derived from a structure optimized by DFT (PBE), using CuKα.
Kinematic intensities with the Lorentz-polarization factor, no thermal factor.

Structure:
a = 7.407 Å, b = 10.397 Å, c = 14.776 Å
α = 90.00°, β = 90.00°, γ = 90.00°
Space group Fmmm (No. 69)
Asymmetric unit:
1 Pr 0.000 0.000 0.249 (multiplicity 8)
2 Pr 0.250 0.250 0.123 (multiplicity 16)
3 Nd 0.000 0.000 0.500 (multiplicity 4)
4 Dy 0.000 0.000 0.000 (multiplicity 4)

Peak list (6 most intense, 2θ = 10–90°, in order of falling intensity)
2θ = 29.64°, I 100; 2θ = 34.29°, I 34; 2θ = 49.42°, I 30; 2θ = 58.56°, I 29; 2θ = 34.51°, I 17; 2θ = 58.85°, I 14

=====

Record 8
The following is a simulated PXRD pattern of Pr2Nd5Dy2. It was derived from a structure optimized by DFT (PBE), using CuKα.
Kinematic intensities with the Lorentz-polarization factor, no thermal factor.

Structure:
a = 15.095 Å, b = 12.052 Å, c = 6.911 Å
α = 90.00°, β = 90.00°, γ = 90.00°
Space group Ima2 (No. 46)
Asymmetric unit:
1 Pr 0.126 0.003 0.000 (multiplicity 8)
2 Nd 0.053 0.750 0.350 (multiplicity 8)
3 Nd 0.143 0.234 0.681 (multiplicity 8)
4 Nd 0.250 0.741 0.650 (multiplicity 4)
5 Dy 0.000 0.000 0.529 (multiplicity 4)
6 Dy 0.250 0.008 0.462 (multiplicity 4)

Peak list (6 most intense, 2θ = 10–90°, in order of falling intensity)
2θ = 29.65°, I 100; 2θ = 27.94°, I 95; 2θ = 29.81°, I 94; 2θ = 35.12°, I 64; 2θ = 30.53°, I 56; 2θ = 32.13°, I 54

=====

Record 9
The following is a simulated PXRD pattern of Pr5NdDy5. It was derived from a structure optimized by DFT (PBE), using CuKα.
Kinematic intensities with the Lorentz-polarization factor, no thermal factor.

Structure:
a = 19.119 Å, b = 6.067 Å, c = 7.086 Å
α = 90.00°, β = 111.63°, γ = 90.00°
Space group C2/m (No. 12)
Asymmetric unit:
1 Pr 0.000 0.000 0.000 (multiplicity 2)
2 Pr 0.176 0.500 0.420 (multiplicity 4)
3 Pr 0.176 0.500 0.932 (multiplicity 4)
4 Nd 0.000 0.500 0.000 (multiplicity 2)
5 Dy 0.000 0.500 0.500 (multiplicity 2)
6 Dy 0.123 0.000 0.624 (multiplicity 4)
7 Dy 0.170 0.000 0.171 (multiplicity 4)

Peak list (6 most intense, 2θ = 10–90°, in order of falling intensity)
2θ = 32.95°, I 100; 2θ = 29.44°, I 58; 2θ = 30.17°, I 32; 2θ = 42.66°, I 25; 2θ = 54.49°, I 24; 2θ = 27.09°, I 20

=====

Record 10
The following is a simulated PXRD pattern of Pr4NdDy. It was derived from a structure optimized by DFT (PBE), using CuKα.
Kinematic intensities with the Lorentz-polarization factor, no thermal factor.

Structure:
a = 5.220 Å, b = 15.628 Å, c = 5.201 Å
α = 90.00°, β = 90.00°, γ = 90.00°
Space group Cmmm (No. 65)
Asymmetric unit:
1 Pr 0.000 0.165 0.000 (multiplicity 4)
2 Pr 0.000 0.334 0.500 (multiplicity 4)
3 Nd 0.000 0.500 0.000 (multiplicity 2)
4 Dy 0.000 0.000 0.500 (multiplicity 2)

Peak list (6 most intense, 2θ = 10–90°, in order of falling intensity)
2θ = 29.70°, I 100; 2θ = 49.48°, I 36; 2θ = 34.39°, I 34; 2θ = 58.74°, I 29; 2θ = 34.49°, I 17; 2θ = 58.86°, I 14

=====

Record 11
The following is a simulated PXRD pattern of Pr9Nd2Dy3. It was derived from a structure optimized by DFT (PBE), using CuKα.
Kinematic intensities with the Lorentz-polarization factor, no thermal factor.

Structure:
a = 9.2304 Å, b = 9.2304 Å, c = 13.9590 Å
α = 90.00°, β = 90.00°, γ = 120.00°
Space group P6_3/m (No. 176)
Asymmetric unit:
1 Pr 0.0805 0.4814 0.2500 (multiplicity 6)
2 Pr 0.1297 0.7250 0.0397 (multiplicity 12)
3 Nd 0.3333 0.6667 0.6409 (multiplicity 4)
4 Dy 0.0767 0.2479 0.7500 (multiplicity 6)

Peak list (6 most intense, 2θ = 10–90°, in order of falling intensity)
2θ = 32.29°, I 100; 2θ = 30.27°, I 81; 2θ = 29.46°, I 41; 2θ = 52.46°, I 33; 2θ = 35.42°, I 26; 2θ = 25.52°, I 26

=====

Record 12
The following is a simulated PXRD pattern of Pr7Nd3Dy. It was derived from a structure optimized by DFT (PBE), using CuKα.
Kinematic intensities with the Lorentz-polarization factor, no thermal factor.

Structure:
a = 11.903 Å, b = 10.390 Å, c = 6.580 Å
α = 90.00°, β = 95.03°, γ = 90.00°
Space group C2/m (No. 12)
Asymmetric unit:
1 Pr 0.000 0.000 0.000 (multiplicity 2)
2 Pr 0.239 0.500 0.215 (multiplicity 4)
3 Pr 0.245 0.173 0.262 (multiplicity 8)
4 Nd 0.000 0.329 0.000 (multiplicity 4)
5 Nd 0.000 0.500 0.500 (multiplicity 2)
6 Dy 0.000 0.000 0.500 (multiplicity 2)

Peak list (6 most intense, 2θ = 10–90°, in order of falling intensity)
2θ = 30.45°, I 100; 2θ = 30.15°, I 83; 2θ = 29.98°, I 81; 2θ = 32.35°, I 71; 2θ = 36.37°, I 63; 2θ = 62.02°, I 40

=====

Record 13
The following is a simulated PXRD pattern of Pr2Nd3Dy8. It was derived from a structure optimized by DFT (PBE), using CuKα.
Kinematic intensities with the Lorentz-polarization factor, no thermal factor.

Structure:
a = 6.234 Å, b = 6.248 Å, c = 11.370 Å
α = 89.88°, β = 79.39°, γ = 80.40°
Space group P-1 (No. 2)
Asymmetric unit:
1 Pr 0.116 0.231 0.038 (multiplicity 2)
2 Nd 0.269 0.538 0.422 (multiplicity 2)
3 Nd 0.500 0.000 0.500 (multiplicity 1)
4 Dy 0.037 0.076 0.345 (multiplicity 2)
5 Dy 0.192 0.385 0.731 (multiplicity 2)
6 Dy 0.347 0.693 0.116 (multiplicity 2)
7 Dy 0.424 0.846 0.808 (multiplicity 2)

Peak list (6 most intense, 2θ = 10–90°, in order of falling intensity)
2θ = 30.43°, I 100; 2θ = 35.25°, I 68; 2θ = 30.34°, I 34; 2θ = 50.67°, I 32; 2θ = 60.26°, I 24; 2θ = 60.35°, I 24